This entry pairs a crystal structure of ZrNbB2 with its computed powder X-ray diffraction pattern. Radiation: Cu Kα, 1.54184 Å. Structure: a PBE-relaxed structure.
Peak positions follow from Bragg's law for the DFT cell and can differ from measured ones.

Top 12 peaks for 5 to 70 degrees two-theta, by intensity:
39.8°, intensity 100
34.2°, intensity 99
39.5°, intensity 70
27.8°, intensity 58
39.2°, intensity 31
65.0°, intensity 30
64.5°, intensity 29
49.1°, intensity 20
53.5°, intensity 18
57.7°, intensity 14
68.3°, intensity 11
48.9°, intensity 11

Atomic structure:
abc: 3.1930 4.9012 4.9012
angles: 40.92 90.00 90.00
Fractional coordinates of all 4 atoms:
Zr1 0.0000 0.0000 0.0000
Nb1 0.5000 0.7134 0.7134
B1 0.0000 0.2935 0.2935
B2 0.5000 0.3996 0.3996

This entry pairs a crystal structure of NdB6 with its computed powder X-ray diffraction pattern. Radiation: Cu Kα, 1.54184 Å. Structure: a PBE-relaxed structure.
Peak positions follow from Bragg's law for the DFT cell and can differ from measured ones.

Top 8 peaks for 5 to 70 degrees two-theta, by intensity:
30.6°, intensity 100
21.5°, intensity 65
49.3°, intensity 50
37.7°, intensity 42
68.0°, intensity 28
54.3°, intensity 27
43.8°, intensity 21
63.6°, intensity 10

Atomic structure:
abc: 4.1357 4.1357 4.1357
angles: 90.00 90.00 90.00
Fractional coordinates of all 7 atoms:
Nd1 0.0000 0.0000 0.0000
B1 0.1998 0.5000 0.5000
B2 0.5000 0.1998 0.5000
B3 0.5000 0.5000 0.1998
B4 0.5000 0.5000 0.8002
B5 0.5000 0.8002 0.5000
B6 0.8002 0.5000 0.5000

This entry pairs a crystal structure of NdB12 with its computed powder X-ray diffraction pattern. Radiation: Cu Kα, 1.54184 Å. Structure: a PBE-relaxed structure.
Peak positions follow from Bragg's law for the DFT cell and can differ from measured ones.

Top 10 peaks for 5 to 70 degrees two-theta, by intensity:
39.5°, intensity 100
20.3°, intensity 88
23.5°, intensity 71
33.5°, intensity 40
52.7°, intensity 32
41.3°, intensity 30
59.8°, intensity 28
54.1°, intensity 22
63.8°, intensity 15
48.0°, intensity 11

Atomic structure:
abc: 5.3568 5.3568 5.3568
angles: 60.00 60.00 60.00
Fractional coordinates of all 13 atoms:
Nd1 0.0000 0.0000 0.0000
B1 0.1633 0.5000 0.5000
B2 0.1633 0.5000 0.8367
B3 0.1633 0.8367 0.5000
B4 0.5000 0.1633 0.5000
B5 0.5000 0.1633 0.8367
B6 0.5000 0.5000 0.1633
B7 0.5000 0.5000 0.8367
B8 0.5000 0.8367 0.1633
B9 0.5000 0.8367 0.5000
B10 0.8367 0.1633 0.5000
B11 0.8367 0.5000 0.1633
B12 0.8367 0.5000 0.5000

This entry pairs a crystal structure of Nd2Ni5B4 with its computed powder X-ray diffraction pattern. Radiation: Cu Kα, 1.54184 Å. Structure: a PBE-relaxed structure.
Peak positions follow from Bragg's law for the DFT cell and can differ from measured ones.

Top 12 peaks for 5 to 70 degrees two-theta, by intensity:
32.7°, intensity 100
39.0°, intensity 59
40.4°, intensity 58
44.6°, intensity 52
30.2°, intensity 48
34.7°, intensity 44
42.1°, intensity 41
21.9°, intensity 40
35.1°, intensity 38
44.4°, intensity 35
37.2°, intensity 32
61.6°, intensity 24

Atomic structure:
abc: 5.5242 5.5242 6.7783
angles: 121.24 121.24 54.92
Fractional coordinates of all 11 atoms:
Nd1 0.2254 0.2254 0.1489
Nd2 0.7746 0.7746 0.8511
Ni1 0.1731 0.6769 0.6279
Ni2 0.3231 0.8269 0.3721
Ni3 0.5000 0.5000 0.0000
Ni4 0.6769 0.1731 0.6279
Ni5 0.8269 0.3231 0.3721
B1 0.0992 0.0992 0.6403
B2 0.2782 0.2782 0.6596
B3 0.7218 0.7218 0.3404
B4 0.9008 0.9008 0.3597